Diffraction record for La3CeHo4. The X-ray powder pattern is calculated, not measured: it uses a DFT-relaxed cell (GGA-PBE, Alexandria) and Cu Kα, 1.54184 Å.

Peak list (10 most intense, 10 to 80 degrees two-theta, low angle first)
d_spacing	I (rel.)
3.380	41
3.205	55
3.040	44
3.020	72
2.969	77
2.947	70
2.839	74
2.771	100
2.736	65
2.496	45

Atomic structure:
```
data_La3CeHo4
_space_group_name_H-M_alt 'P 1'
_space_group_IT_number 1
_cell_length_a 12.985
_cell_length_b 12.985
_cell_length_c 6.106
_cell_angle_alpha 95.12
_cell_angle_beta 95.12
_cell_angle_gamma 15.09
loop_
_space_group_symop_operation_xyz
'x,y,z'
loop_
_atom_site_label
_atom_site_fract_x
_atom_site_fract_y
_atom_site_fract_z
_atom_site_occupancy
La1 0.000 0.000 0.000 1
La2 0.147 0.147 0.233 1
La3 0.853 0.853 0.767 1
Ce1 0.500 0.500 0.500 1
Ho1 0.106 0.106 0.716 1
Ho2 0.279 0.279 0.261 1
Ho3 0.721 0.721 0.739 1
Ho4 0.894 0.894 0.284 1
```

Diffraction record for PrHg5Au. The X-ray powder pattern is calculated, not measured: it uses a DFT-relaxed cell (GGA-PBE, Alexandria) and Cu Kα, 1.54184 Å.

Peak list (10 most intense, 10 to 80 degrees two-theta, low angle first)
d_spacing	I (rel.)
4.109	14
3.168	13
2.531	100
2.487	55
1.759	20
1.738	9
1.470	12
1.444	36
1.347	7
1.265	7

Atomic structure:
```
data_PrHg5Au
_space_group_name_H-M_alt 'P 1'
_space_group_IT_number 1
_cell_length_a 4.975
_cell_length_b 4.975
_cell_length_c 7.288
_cell_angle_alpha 90.00
_cell_angle_beta 90.00
_cell_angle_gamma 90.00
loop_
_space_group_symop_operation_xyz
'x,y,z'
loop_
_atom_site_label
_atom_site_fract_x
_atom_site_fract_y
_atom_site_fract_z
_atom_site_occupancy
Pr1 0.000 0.000 0.000 1
Hg1 0.000 0.500 0.288 1
Hg2 0.000 0.500 0.712 1
Hg3 0.500 0.000 0.288 1
Hg4 0.500 0.000 0.712 1
Hg5 0.500 0.500 0.000 1
Au1 0.000 0.000 0.500 1
```

Diffraction record for Ti3BiH. The X-ray powder pattern is calculated, not measured: it uses a DFT-relaxed cell (GGA-PBE, Alexandria) and Cu Kα, 1.54184 Å.

Peak list (10 most intense, 10 to 80 degrees two-theta, low angle first)
d_spacing	I (rel.)
5.265	34
3.640	52
3.528	38
3.398	25
2.938	40
2.504	26
2.444	52
2.349	77
2.287	100
1.405	22

Atomic structure:
```
data_Ti3BiH
_space_group_name_H-M_alt 'P 1'
_space_group_IT_number 1
_cell_length_a 5.894
_cell_length_b 5.894
_cell_length_c 4.898
_cell_angle_alpha 92.91
_cell_angle_beta 92.91
_cell_angle_gamma 63.35
loop_
_space_group_symop_operation_xyz
'x,y,z'
loop_
_atom_site_label
_atom_site_fract_x
_atom_site_fract_y
_atom_site_fract_z
_atom_site_occupancy
Ti1 0.095 0.095 0.230 1
Ti2 0.116 0.604 0.261 1
Ti3 0.396 0.884 0.739 1
Ti4 0.412 0.397 0.768 1
Ti5 0.603 0.588 0.232 1
Ti6 0.905 0.905 0.770 1
Bi1 0.590 0.086 0.264 1
Bi2 0.914 0.410 0.736 1
H1 0.148 0.852 0.500 1
H2 0.253 0.747 0.000 1
```

Diffraction record for La2Al12Ir7. The X-ray powder pattern is calculated, not measured: it uses a DFT-relaxed cell (GGA-PBE, Alexandria) and Cu Kα, 1.54184 Å.

Peak list (10 most intense, 10 to 80 degrees two-theta, low angle first)
d_spacing	I (rel.)
3.250	60
3.174	54
2.978	100
2.554	49
2.482	28
2.150	27
2.127	60
2.064	74
1.780	28
1.447	27

Atomic structure:
```
data_La2Al12Ir7
_space_group_name_H-M_alt 'P 1'
_space_group_IT_number 1
_cell_length_a 9.930
_cell_length_b 9.930
_cell_length_c 4.128
_cell_angle_alpha 90.00
_cell_angle_beta 90.00
_cell_angle_gamma 120.00
loop_
_space_group_symop_operation_xyz
'x,y,z'
loop_
_atom_site_label
_atom_site_fract_x
_atom_site_fract_y
_atom_site_fract_z
_atom_site_occupancy
La1 0.000 0.000 0.000 1
La2 0.333 0.667 0.500 1
Al1 0.010 0.731 0.500 1
Al2 0.168 0.393 0.000 1
Al3 0.225 0.832 0.000 1
Al4 0.269 0.279 0.500 1
Al5 0.380 0.171 0.000 1
Al6 0.554 0.144 0.500 1
Al7 0.589 0.446 0.500 1
Al8 0.607 0.775 0.000 1
Al9 0.721 0.990 0.500 1
Al10 0.790 0.620 0.000 1
Al11 0.829 0.210 0.000 1
Al12 0.856 0.411 0.500 1
Ir1 0.002 0.264 0.500 1
Ir2 0.017 0.546 0.000 1
Ir3 0.262 0.998 0.500 1
Ir4 0.454 0.471 0.000 1
Ir5 0.529 0.983 0.000 1
Ir6 0.667 0.333 0.000 1
Ir7 0.736 0.738 0.500 1
```